1.
The following is a simulated powder XRD pattern of Cs2GeI7. It was derived from a GGA-PBE-relaxed structure, using Cu Kα (weighted mean of Kα1 and Kα2).
Kinematic intensities with the Lorentz-polarization factor, no thermal factor.

Top 10 peaks for 2θ = 10–90°, sorted by position:
d [Å], Rel. int., (hkl)
4.353, 131, 1 1 2
3.571, 1000, 2 0 2
3.124, 785, 2 2 0
3.034, 376, 0 0 4
2.209, 276, 4 0 0
2.176, 548, 2 2 4
1.878, 264, 4 2 2
1.839, 137, 2 0 6
1.786, 276, 4 0 4
1.269, 147, 6 2 4

Atomic structure:
```
data_Cs2GeI7
_chemical_formula_sum 'Cs4 Ge2 I14'
_symmetry_space_group_name_H-M 'I 4/m m m'
_symmetry_Int_Tables_number 139
_symmetry_space_group_name_Hall '-I 4 2'
_cell_length_a 8.835
_cell_length_b 8.835
_cell_length_c 12.136
_cell_angle_alpha 90.00
_cell_angle_beta 90.00
_cell_angle_gamma 90.00
loop_
_atom_site_label
_atom_site_type_symbol
_atom_site_fract_x
_atom_site_fract_y
_atom_site_fract_z
Cs1 Cs 0.000 0.500 0.250
Ge1 Ge 0.000 0.000 0.000
I1 I 0.000 0.000 0.235
I2 I 0.000 0.000 0.500
I3 I 0.228 0.228 0.000
```

***

2.
The following is a simulated powder XRD pattern of Cs3GeI6. It was derived from a GGA-PBE-relaxed structure, using Cu Kα (weighted mean of Kα1 and Kα2).
Kinematic intensities with the Lorentz-polarization factor, no thermal factor.

Top 10 peaks for 2θ = 10–90°, sorted by position:
d [Å], Rel. int., (hkl)
6.593, 248, 1 3 0
4.673, 834, 2 2 1
3.666, 557, 3 3 1
3.405, 768, 3 5 0
3.306, 239, 0 0 2
2.819, 1000, 0 4 2
2.794, 415, 6 0 0
2.687, 196, 0 8 0
1.983, 317, 6 4 2
1.829, 309, 3 9 2

Atomic structure:
```
data_Cs3GeI6
_chemical_formula_sum 'Cs12 Ge4 I24'
_symmetry_space_group_name_H-M 'C m c 21'
_symmetry_Int_Tables_number 36
_cell_length_a 16.766
_cell_length_b 21.471
_cell_length_c 6.614
_cell_angle_alpha 90.00
_cell_angle_beta 90.00
_cell_angle_gamma 90.00
loop_
_symmetry_equiv_pos_as_xyz
'x,y,z'
'-x,-y,z+1/2'
'-x,y,z'
'x,-y,z+1/2'
'x+1/2,y+1/2,z'
'-x+1/2,-y+1/2,z+1/2'
'-x+1/2,y+1/2,z'
'x+1/2,-y+1/2,z+1/2'
loop_
_atom_site_label
_atom_site_type_symbol
_atom_site_fract_x
_atom_site_fract_y
_atom_site_fract_z
Cs1 Cs 0.000 0.116 0.000
Cs2 Cs 0.181 0.382 0.971
Ge1 Ge 0.000 0.292 0.369
I1 I 0.000 0.285 0.789
I2 I 0.000 0.427 0.333
I3 I 0.151 0.227 0.291
I4 I 0.162 0.001 0.734
```